Record 1
For LaIn2, DFT lattice parameters and positions (GGA-PBE) gives the theoretical X-ray powder pattern in this record (Cu Kα, 1.54184 Å).

The 10 most intense peaks (10° ≤ 2θ ≤ 80°), sorted by position:
hkl 1 1 2, 2θ 29.08, I 44.1
hkl 0 2 2, 2θ 30.29, I 38.3
hkl 1 2 1, 2θ 31.21, I 100.0
hkl 1 0 3, 2θ 34.47, I 68.8
hkl 0 3 1, 2θ 36.45, I 22.9
hkl 2 0 0, 2θ 36.89, I 40.2
hkl 2 2 2, 2θ 48.45, I 20.5
hkl 2 3 1, 2θ 52.83, I 15.4
hkl 1 3 4, 2θ 56.96, I 24.1
hkl 1 5 2, 2θ 67.08, I 16.3

```
data_LaIn2
_chemical_formula_sum 'La4 In8'
_space_group_name_H-M_alt 'I m m a'
_space_group_IT_number 74
_space_group_name_Hall '-I 2b 2'
_cell_length_a 4.8727
_cell_length_b 7.6732
_cell_length_c 9.2334
_cell_angle_alpha 90.00
_cell_angle_beta 90.00
_cell_angle_gamma 90.00
loop_
_atom_site_label
_atom_site_type_symbol
_atom_site_fract_x
_atom_site_fract_y
_atom_site_fract_z
La1 La 0.0000 0.2500 0.0504
In1 In 0.0000 0.0463 0.6613
```



Record 2
For La2In, DFT lattice parameters and positions (GGA-PBE) gives the theoretical X-ray powder pattern in this record (Cu Kα, 1.54184 Å).

The 10 most intense peaks (10° ≤ 2θ ≤ 80°), sorted by position:
hkl 1 0 2, 2θ 31.02, I 96.1
hkl 1 1 0, 2θ 31.65, I 100.0
hkl 1 1 2, 2θ 40.73, I 9.0
hkl 2 0 2, 2θ 44.91, I 34.4
hkl 2 1 2, 2θ 55.98, I 35.6
hkl 3 0 0, 2θ 56.38, I 19.1
hkl 1 1 4, 2θ 61.47, I 29.2
hkl 2 2 0, 2θ 66.12, I 11.7
hkl 3 1 2, 2θ 74.82, I 14.9
hkl 3 0 4, 2θ 79.63, I 13.8

```
data_La2In
_chemical_formula_sum 'La4 In2'
_space_group_name_H-M_alt 'P 63/m m c'
_space_group_IT_number 194
_space_group_name_Hall '-P 6c 2c'
_cell_length_a 5.6531
_cell_length_b 5.6531
_cell_length_c 7.1341
_cell_angle_alpha 90.00
_cell_angle_beta 90.00
_cell_angle_gamma 120.00
loop_
_atom_site_label
_atom_site_type_symbol
_atom_site_fract_x
_atom_site_fract_y
_atom_site_fract_z
La1 La 0.0000 0.0000 0.0000
La2 La 0.3333 0.6667 0.2500
In1 In 0.3333 0.6667 0.7500
```



Record 3
For LaLuIn2, DFT lattice parameters and positions (GGA-PBE) gives the theoretical X-ray powder pattern in this record (Cu Kα, 1.54184 Å).

The 10 most intense peaks (10° ≤ 2θ ≤ 80°), sorted by position:
hkl 1 1 1, 2θ 20.03, I 1.0
hkl 2 0 0, 2θ 23.17, I 2.3
hkl 2 2 0, 2θ 33.00, I 100.0
hkl 3 1 1, 2θ 38.91, I 0.6
hkl 2 2 2, 2θ 40.72, I 0.7
hkl 4 0 0, 2θ 47.37, I 18.1
hkl 4 2 0, 2θ 53.37, I 1.1
hkl 4 2 2, 2θ 58.94, I 37.3
hkl 4 4 0, 2θ 69.23, I 11.4
hkl 6 2 0, 2θ 78.86, I 15.9

```
data_LaLuIn2
_chemical_formula_sum 'La4 Lu4 In8'
_space_group_name_H-M_alt 'F m -3 m'
_space_group_IT_number 225
_space_group_name_Hall '-F 4 2 3'
_cell_length_a 7.6766
_cell_length_b 7.6766
_cell_length_c 7.6766
_cell_angle_alpha 90.00
_cell_angle_beta 90.00
_cell_angle_gamma 90.00
loop_
_atom_site_label
_atom_site_type_symbol
_atom_site_fract_x
_atom_site_fract_y
_atom_site_fract_z
La1 La 0.0000 0.0000 0.0000
Lu1 Lu 0.0000 0.0000 0.5000
In1 In 0.2500 0.2500 0.2500
```



Record 4
For LaMnIn, DFT lattice parameters and positions (GGA-PBE) gives the theoretical X-ray powder pattern in this record (Cu Kα, 1.54184 Å).

The 10 most intense peaks (10° ≤ 2θ ≤ 80°), sorted by position:
hkl 1 0 0, 2θ 22.35, I 11.4
hkl 1 0 1, 2θ 31.34, I 100.0
hkl 1 1 0, 2θ 39.23, I 49.3
hkl 0 0 2, 2θ 44.22, I 11.6
hkl 1 0 2, 2θ 50.09, I 2.8
hkl 2 0 1, 2θ 51.05, I 24.9
hkl 1 1 2, 2θ 60.57, I 26.5
hkl 2 1 1, 2θ 66.21, I 22.4
hkl 3 0 0, 2θ 71.10, I 8.1
hkl 1 0 3, 2θ 73.30, I 8.3

```
data_LaMnIn
_chemical_formula_sum 'La1 Mn1 In1'
_space_group_name_H-M_alt 'P -6 m 2'
_space_group_IT_number 187
_space_group_name_Hall 'P -6 2'
_cell_length_a 4.5933
_cell_length_b 4.5933
_cell_length_c 4.0966
_cell_angle_alpha 90.00
_cell_angle_beta 90.00
_cell_angle_gamma 120.00
loop_
_atom_site_label
_atom_site_type_symbol
_atom_site_fract_x
_atom_site_fract_y
_atom_site_fract_z
La1 La 0.0000 0.0000 0.0000
Mn1 Mn 0.6667 0.3333 0.5000
In1 In 0.3333 0.6667 0.5000
```